Record 1
Li3Fe8B8O24: calculated powder XRD pattern (CuKα), based on a DFT-relaxed cell (GGA+U, the Materials Project).
Intensities are scaled so that the largest is 100.

Main lines, sorted by position (2θ from 5° to 70°):
d_spacing  Position (°2θ)  I/Imax
4.570  19.42  31.4
4.527  19.61  55.2
4.142  21.45  100.0
3.425  26.02  47.3
3.375  26.41  34.1
2.647  33.86  18.0
2.622  34.20  45.6
2.543  35.29  60.3
2.237  40.32  29.8
2.209  40.85  19.4
1.849  49.29  24.0
1.713  53.50  18.5

Structural model:
```
Li3Fe8B8O24
1.0
5.296 0.000 0.000
0.000 9.053 0.000
0.175 0.012 10.172
Li Fe B O
3 8 8 24
direct
0.000 0.000 0.000
0.192 0.506 0.759
0.686 0.994 0.262
0.000 0.666 0.489
0.183 0.841 0.738
0.189 0.167 0.236
0.498 0.171 0.488
0.500 0.835 0.987
0.674 0.658 0.240
0.681 0.334 0.735
0.997 0.334 0.985
0.009 0.332 0.489
0.165 0.831 0.238
0.181 0.169 0.742
0.502 0.831 0.483
0.514 0.166 0.989
0.667 0.671 0.735
0.685 0.331 0.236
0.995 0.670 0.983
0.035 0.708 0.289
0.042 0.961 0.215
0.064 0.300 0.785
0.068 0.035 0.764
0.096 0.535 0.953
0.108 0.471 0.500
0.121 0.799 0.939
0.153 0.215 0.440
0.253 0.177 0.019
0.262 0.810 0.540
0.414 0.180 0.679
0.423 0.817 0.208
0.538 0.798 0.775
0.552 0.538 0.735
0.567 0.463 0.248
0.569 0.201 0.283
0.594 0.968 0.458
0.637 0.036 0.008
0.643 0.706 0.446
0.644 0.291 0.945
0.763 0.306 0.530
0.768 0.687 0.050
0.923 0.319 0.177
0.926 0.685 0.694
```

---

Record 2
Sr3CaNdMn5O15: calculated powder XRD pattern (CuKα), based on a DFT-relaxed cell (GGA+U, the Materials Project).
Intensities are scaled so that the largest is 100.

Main lines, sorted by position (2θ from 5° to 70°):
d_spacing  Position (°2θ)  I/Imax
2.749  32.58  100.0
2.708  33.08  53.1
2.233  40.39  20.9
1.973  45.99  21.2
1.915  47.48  35.1
1.595  57.80  15.7
1.594  57.85  5.2
1.571  58.76  35.3
1.570  58.83  5.1
1.375  68.18  5.3
1.374  68.27  15.7
1.354  69.41  9.3

Structural model:
```
Sr3CaNdMn5O15
1.0
5.504 0.000 0.000
-2.509 9.093 0.000
-2.674 -2.348 11.567
Sr Ca Nd Mn O
6 2 2 10 30
direct
0.000 0.000 0.000
0.098 0.902 0.300
0.200 0.799 0.603
0.494 0.499 0.501
0.601 0.401 0.804
0.800 0.202 0.399
0.301 0.700 0.901
0.702 0.301 0.104
0.393 0.601 0.198
0.900 0.099 0.697
0.050 0.452 0.653
0.151 0.351 0.952
0.247 0.251 0.248
0.349 0.150 0.551
0.451 0.051 0.853
0.551 0.952 0.149
0.647 0.849 0.449
0.748 0.750 0.752
0.850 0.650 0.049
0.946 0.549 0.349
0.012 0.518 0.977
0.100 0.907 0.800
0.110 0.395 0.321
0.116 0.367 0.792
0.163 0.332 0.110
0.184 0.302 0.582
0.200 0.795 0.102
0.298 0.700 0.393
0.322 0.182 0.394
0.328 0.199 0.933
0.361 0.119 0.709
0.396 0.602 0.705
0.401 0.114 0.176
0.501 0.501 0.009
0.512 0.965 0.989
0.516 0.995 0.527
0.578 0.921 0.307
0.594 0.407 0.289
0.607 0.918 0.777
0.699 0.786 0.126
0.700 0.292 0.608
0.718 0.780 0.594
0.759 0.723 0.909
0.778 0.703 0.371
0.807 0.200 0.899
0.897 0.101 0.196
0.915 0.596 0.729
0.932 0.573 0.190
0.971 0.516 0.506
0.997 0.000 0.505
```

---

Record 3
K2CrAgF6: calculated powder XRD pattern (CuKα), based on a DFT-relaxed cell (GGA+U, the Materials Project).
Intensities are scaled so that the largest is 100.

Main lines, sorted by position (2θ from 5° to 70°):
d_spacing  Position (°2θ)  I/Imax
5.006  17.72  6.2
4.335  20.49  42.6
3.066  29.13  100.0
2.614  34.30  11.8
2.168  41.67  50.1
1.989  45.61  9.9
1.939  46.86  15.9
1.770  51.64  34.4
1.669  55.03  3.2
1.533  60.39  27.3
1.445  64.48  6.8
1.371  68.43  17.2

Structural model:
```
K2CrAgF6
1.0
0.000 4.335 4.335
4.335 0.000 4.335
4.335 4.335 0.000
K Cr Ag F
2 1 1 6
direct
0.250 0.250 0.250
0.750 0.750 0.750
0.000 0.000 0.000
0.500 0.500 0.500
0.223 0.223 0.777
0.223 0.777 0.223
0.223 0.777 0.777
0.777 0.223 0.223
0.777 0.223 0.777
0.777 0.777 0.223
```

---

Record 4
Na4Mn2C4SO16: calculated powder XRD pattern (CuKα), based on a DFT-relaxed cell (GGA+U, the Materials Project).
Intensities are scaled so that the largest is 100.

Main lines, sorted by position (2θ from 5° to 70°):
d_spacing  Position (°2θ)  I/Imax
8.101  10.92  55.7
5.040  17.60  29.8
4.917  18.04  30.0
4.278  20.76  100.0
4.138  21.48  32.2
2.746  32.61  45.8
2.732  32.78  28.1
2.700  33.18  13.9
2.628  34.11  32.1
2.520  35.62  23.1
2.465  36.46  15.2
2.458  36.56  17.4

Structural model:
```
Na4Mn2C4SO16
1.0
0.000 7.108 7.149
6.806 0.000 7.149
6.806 7.108 0.000
Na Mn C S O
8 4 8 2 32
direct
0.079 0.079 0.671
0.085 0.665 0.665
0.329 0.329 0.921
0.335 0.915 0.915
0.665 0.085 0.085
0.671 0.671 0.079
0.915 0.335 0.335
0.921 0.921 0.329
0.000 0.500 0.500
0.500 0.000 0.500
0.500 0.500 0.000
0.500 0.500 0.500
0.273 0.288 0.644
0.288 0.273 0.295
0.295 0.644 0.288
0.356 0.705 0.727
0.644 0.295 0.273
0.705 0.356 0.712
0.712 0.727 0.705
0.727 0.712 0.356
0.125 0.125 0.125
0.875 0.875 0.875
0.059 0.069 0.310
0.063 0.310 0.069
0.069 0.059 0.063
0.137 0.315 0.634
0.141 0.388 0.323
0.151 0.656 0.398
0.295 0.398 0.656
0.310 0.063 0.059
0.315 0.137 0.414
0.323 0.649 0.141
0.344 0.849 0.705
0.351 0.677 0.612
0.366 0.586 0.863
0.388 0.141 0.649
0.398 0.295 0.151
0.414 0.634 0.315
0.586 0.366 0.685
0.602 0.705 0.849
0.612 0.859 0.351
0.634 0.414 0.137
0.649 0.323 0.388
0.656 0.151 0.295
0.677 0.351 0.859
0.685 0.863 0.586
0.690 0.937 0.941
0.705 0.602 0.344
0.849 0.344 0.602
0.859 0.612 0.677
0.863 0.685 0.366
0.931 0.941 0.937
0.937 0.690 0.931
0.941 0.931 0.690
```

---

Record 5
CaMg6CrO8: calculated powder XRD pattern (CuKα), based on a DFT-relaxed cell (GGA+U, the Materials Project).
Intensities are scaled so that the largest is 100.

Main lines, sorted by position (2θ from 5° to 70°):
d_spacing  Position (°2θ)  I/Imax
8.572  10.32  15.2
4.286  20.72  4.6
3.132  28.50  3.9
2.942  30.39  6.5
2.857  31.30  3.2
2.529  35.50  29.0
2.215  40.74  100.0
2.143  42.17  45.7
2.111  42.84  2.2
1.750  52.26  2.4
1.566  58.99  28.5
1.540  60.08  53.1

Structural model:
```
CaMg6CrO8
1.0
4.429 0.000 0.000
0.000 4.429 0.000
0.000 0.000 8.572
Ca Mg Cr O
1 6 1 8
direct
0.000 0.000 0.000
0.000 0.000 0.500
0.000 0.500 0.255
0.000 0.500 0.745
0.500 0.000 0.255
0.500 0.000 0.745
0.500 0.500 0.500
0.500 0.500 0.000
0.000 0.000 0.265
0.000 0.000 0.735
0.000 0.500 0.000
0.000 0.500 0.500
0.500 0.000 0.000
0.500 0.000 0.500
0.500 0.500 0.251
0.500 0.500 0.749
```

---

Record 6
Na4Ni2C4SO16: calculated powder XRD pattern (CuKα), based on a DFT-relaxed cell (GGA+U, the Materials Project).
Intensities are scaled so that the largest is 100.

Main lines, sorted by position (2θ from 5° to 70°):
d_spacing  Position (°2θ)  I/Imax
8.069  10.96  96.4
4.958  17.89  67.4
4.256  20.87  87.2
4.194  21.18  100.0
4.034  22.03  26.8
2.722  32.90  37.5
2.681  33.42  54.2
2.666  33.61  48.6
2.483  36.18  32.2
2.475  36.30  29.8
2.454  36.62  24.7
1.605  57.40  22.3

Structural model:
```
Na4Ni2C4SO16
1.0
0.000 6.964 7.083
6.920 0.000 7.083
6.920 6.964 0.000
Na Ni C S O
8 4 8 2 32
direct
0.085 0.665 0.085
0.086 0.664 0.664
0.335 0.915 0.335
0.336 0.914 0.914
0.664 0.086 0.086
0.665 0.085 0.665
0.914 0.336 0.336
0.915 0.335 0.915
0.000 0.500 0.500
0.500 0.000 0.500
0.500 0.500 0.000
0.500 0.500 0.500
0.279 0.643 0.287
0.287 0.290 0.279
0.290 0.287 0.643
0.357 0.721 0.710
0.643 0.279 0.290
0.710 0.713 0.357
0.713 0.710 0.721
0.721 0.357 0.713
0.125 0.125 0.125
0.875 0.875 0.875
0.060 0.310 0.066
0.064 0.066 0.310
0.066 0.064 0.060
0.144 0.312 0.394
0.144 0.635 0.310
0.146 0.404 0.650
0.300 0.650 0.404
0.310 0.060 0.064
0.310 0.410 0.144
0.312 0.144 0.650
0.350 0.606 0.688
0.350 0.700 0.854
0.365 0.856 0.590
0.394 0.650 0.144
0.404 0.146 0.300
0.410 0.310 0.635
0.590 0.690 0.365
0.596 0.854 0.700
0.606 0.350 0.856
0.635 0.144 0.410
0.650 0.300 0.146
0.650 0.394 0.312
0.688 0.856 0.350
0.690 0.590 0.856
0.690 0.940 0.936
0.700 0.350 0.596
0.854 0.596 0.350
0.856 0.365 0.690
0.856 0.688 0.606
0.934 0.936 0.940
0.936 0.934 0.690
0.940 0.690 0.934
```